[1]
Structure and computed powder diffraction line list of CaTl5 (a crystal structure in Alexandria, relaxed with PBE; CuKα).
Lines closer than 0.1° are merged.

Largest 8 diffraction maxima, sorted by position, 2θ = 10–90°:
Position (°2θ)	Rel. int.
26.69	15
32.17	100
32.62	73
42.28	27
46.46	23
57.36	20
57.62	20
65.12	18

Atomic structure:
```
CaTl5
1.0
4.8207 -2.7816 0.0000
4.8207 2.7816 0.0000
-0.0156 0.0000 6.6791
Ca Tl
1 5
direct
0.0000 0.0000 0.0000
0.0000 0.0000 0.5000
0.3329 0.3329 0.2538
0.3338 0.3338 0.7478
0.6662 0.6662 0.2522
0.6671 0.6671 0.7462
```

[2]
Structure and computed powder diffraction line list of Pm2In4Ag3 (a crystal structure in Alexandria, relaxed with PBE; CuKα).
Lines closer than 0.1° are merged.

Largest 8 diffraction maxima, sorted by position, 2θ = 10–90°:
Position (°2θ)	Rel. int.
30.37	27
32.52	100
33.79	31
34.30	16
35.93	71
36.17	15
39.14	26
63.21	22

Atomic structure:
```
Pm2In4Ag3
1.0
3.1096 -8.2535 0.0000
3.1096 8.2535 0.0000
0.0000 0.0000 8.4038
Pm In Ag
4 8 6
direct
0.1059 0.8941 0.9034
0.3941 0.6059 0.4034
0.6059 0.3941 0.5966
0.8941 0.1059 0.0966
0.1763 0.8237 0.5191
0.1879 0.3121 0.7500
0.3121 0.1879 0.2500
0.3237 0.6763 0.0191
0.6763 0.3237 0.9809
0.6879 0.8121 0.7500
0.8121 0.6879 0.2500
0.8237 0.1763 0.4809
0.0000 0.0000 0.5000
0.0148 0.4852 0.7500
0.4852 0.0148 0.2500
0.5000 0.5000 0.0000
0.5148 0.9852 0.7500
0.9852 0.5148 0.2500
```

[3]
Structure and computed powder diffraction line list of Th5Bi2Ru2 (a crystal structure in Alexandria, relaxed with PBE; CuKα).
Lines closer than 0.1° are merged.

Largest 8 diffraction maxima, sorted by position, 2θ = 10–90°:
Position (°2θ)	Rel. int.
24.49	60
27.35	67
31.43	48
31.61	77
33.76	100
34.09	53
47.40	47
49.99	50

Atomic structure:
```
Th5Bi2Ru2
1.0
-3.3802 10.0340 4.2899
3.3802 -10.0340 4.2899
3.3802 10.0340 -4.2899
Th Bi Ru
10 4 4
direct
0.1285 0.3785 0.7500
0.2157 0.0760 0.1397
0.2330 0.0000 0.7330
0.2330 0.5000 0.2330
0.4363 0.0760 0.3603
0.5637 0.9240 0.6397
0.7670 0.0000 0.2670
0.7670 0.5000 0.7670
0.7843 0.9240 0.8603
0.8715 0.6215 0.2500
0.1481 0.5444 0.6037
0.4407 0.5444 0.8963
0.5593 0.4556 0.1037
0.8519 0.4556 0.3963
0.0000 0.0000 0.0000
0.1759 0.9259 0.2500
0.5000 0.0000 0.5000
0.8241 0.0741 0.7500
```